Entry 1:
Computed powder diffraction line list of RbLi2PuI6 for copper Kα, from the PBE geometry in Alexandria.
Intensities are scaled so that the largest is 100.

Top 8 peaks for 5° ≤ 2θ ≤ 70°, low angle first:
- 2θ 13.4, I = 34
- 2θ 15.2, I = 32
- 2θ 20.7, I = 29
- 2θ 25.4, I = 100
- 2θ 27.1, I = 43
- 2θ 33.2, I = 59
- 2θ 39.1, I = 31
- 2θ 43.5, I = 28

Cell and atoms:
Cell: 8.6442 8.6442 8.6442 Å, 54.96 54.96 54.96°
Fractional coordinates of all 10 atoms:
1 Rb 0.0000 0.0000 0.0000
2 Li 0.2857 0.2857 0.2857
3 Li 0.7956 0.7956 0.7956
4 Pu 0.4760 0.4760 0.4760
5 I 0.0546 0.6218 0.4716
6 I 0.2018 0.5382 0.8929
7 I 0.4716 0.0546 0.6218
8 I 0.5382 0.8929 0.2018
9 I 0.6218 0.4716 0.0546
10 I 0.8929 0.2018 0.5382



Entry 2:
Computed powder diffraction line list of LiPuSnI6 for copper Kα, from the PBE geometry in Alexandria.
Intensities are scaled so that the largest is 100.

Top 8 peaks for 5° ≤ 2θ ≤ 70°, low angle first:
- 2θ 14.7, I = 29
- 2θ 18.3, I = 32
- 2θ 26.3, I = 100
- 2θ 34.5, I = 67
- 2θ 40.5, I = 49
- 2θ 45.2, I = 23
- 2θ 48.9, I = 17
- 2θ 67.8, I = 19

Cell and atoms:
Cell: 7.7204 7.7204 14.1018 Å, 90.00 90.00 120.00°
Fractional coordinates of all 18 atoms:
1 Li 0.3333 0.6667 0.2500
2 Li 0.6667 0.3333 0.7500
3 Pu 0.3333 0.6667 0.7500
4 Pu 0.6667 0.3333 0.2500
5 Sn 0.0000 0.0000 0.0000
6 Sn 0.0000 0.0000 0.5000
7 I 0.0084 0.3502 0.1271
8 I 0.0084 0.6582 0.3729
9 I 0.3418 0.3502 0.3729
10 I 0.3418 0.9916 0.1271
11 I 0.3502 0.0084 0.6271
12 I 0.3502 0.3418 0.8729
13 I 0.6498 0.6582 0.1271
14 I 0.6498 0.9916 0.3729
15 I 0.6582 0.0084 0.8729
16 I 0.6582 0.6498 0.6271
17 I 0.9916 0.3418 0.6271
18 I 0.9916 0.6498 0.8729



Entry 3:
Computed powder diffraction line list of Rb2LiSbI6 for copper Kα, from the PBE geometry in Alexandria.
Intensities are scaled so that the largest is 100.

Top 8 peaks for 5° ≤ 2θ ≤ 70°, low angle first:
- 2θ 15.0, I = 12
- 2θ 25.4, I = 100
- 2θ 27.6, I = 30
- 2θ 30.3, I = 59
- 2θ 41.4, I = 39
- 2θ 43.3, I = 22
- 2θ 50.9, I = 28
- 2θ 52.1, I = 20

Cell and atoms:
Cell: 8.7606 8.7606 8.7606 Å, 123.07 123.07 84.77°
Fractional coordinates of all 10 atoms:
1 Rb 0.0000 0.5000 0.5000
2 Rb 0.5000 0.0000 0.5000
3 Li 0.2573 0.2573 0.0000
4 Sb 0.7143 0.7143 0.0000
5 I 0.4433 0.4428 0.4870
6 I 0.4428 0.9559 0.9995
7 I 0.4680 0.4680 0.0000
8 I 0.9405 0.9405 0.0000
9 I 0.9563 0.4433 0.0005
10 I 0.9559 0.9563 0.5130